No. 1
Computed powder X-ray diffraction pattern
Compound: K3HPtS2Cl2O6
Radiation: Cu Kα X-rays
Structure: the GGA-PBE geometry in Alexandria

Structural model:
Lattice parameters (Å, degrees): 15.2820 10.7597 7.1865 90.00 90.00 90.00
Space group Cmc2_1 (No. 36)
Inequivalent atoms, fractional coordinates:
K  0.0000  0.1213  0.0000 (multiplicity 4)
K  0.2166  0.3572  0.8167 (multiplicity 8)
H  0.0000  0.4802  0.2479 (multiplicity 4)
Pt  0.0000  0.2442  0.4657 (multiplicity 4)
S  0.1090  0.3453  0.3149 (multiplicity 8)
Cl  0.1091  0.1197  0.6208 (multiplicity 8)
O  0.0787  0.4761  0.2536 (multiplicity 8)
O  0.1302  0.2714  0.1449 (multiplicity 8)
O  0.1884  0.3648  0.4292 (multiplicity 8)

Main lines, most intense first (15 to 90 degrees two-theta):
two_theta, I/Imax
15.92, 100
32.98, 33
16.48, 29
22.94, 21
32.17, 19
28.42, 18
49.07, 18
40.77, 16
27.43, 16
34.26, 16

No. 2
Computed powder X-ray diffraction pattern
Compound: PmMg4Ru
Radiation: Cu Kα X-rays
Structure: the GGA-PBE geometry in Alexandria

Structural model:
Lattice parameters (Å, degrees): 8.4039 4.3753 7.4211 90.00 90.00 90.00
Space group Pmma (No. 51)
Inequivalent atoms, fractional coordinates:
Pm  0.2500  0.0000  0.0910 (multiplicity 2)
Mg  0.0000  0.0000  0.5000 (multiplicity 2)
Mg  0.0648  0.5000  0.8047 (multiplicity 4)
Mg  0.2500  0.5000  0.4657 (multiplicity 2)
Ru  0.2500  0.0000  0.7228 (multiplicity 2)

Main lines, most intense first (15 to 90 degrees two-theta):
two_theta, I/Imax
29.47, 100
33.41, 97
21.14, 96
20.30, 90
31.90, 85
37.92, 63
43.38, 56
26.25, 51
41.27, 45
53.69, 40

No. 3
Computed powder X-ray diffraction pattern
Compound: NaTc4
Radiation: Cu Kα X-rays
Structure: the GGA-PBE geometry in Alexandria

Structural model:
Lattice parameters (Å, degrees): 4.3812 4.3812 4.3812 90.00 90.00 90.00
Space group Pm-3m (No. 221)
Inequivalent atoms, fractional coordinates:
Na  0.0000  0.0000  0.0000 (multiplicity 1)
Tc  0.0000  0.0000  0.5000 (multiplicity 3)
Tc  0.5000  0.5000  0.5000 (multiplicity 1)

Main lines, most intense first (15 to 90 degrees two-theta):
two_theta, I/Imax
35.49, 100
41.21, 63
59.69, 41
71.41, 37
75.11, 13
89.47, 7
20.27, 1
28.82, 1
46.34, 1

No. 4
Computed powder X-ray diffraction pattern
Compound: HfV2Co9
Radiation: Cu Kα X-rays
Structure: the GGA-PBE geometry in Alexandria

Structural model:
Lattice parameters (Å, degrees): 7.9300 7.9300 4.5798 90.00 90.00 90.00
Space group P4/mbm (No. 127)
Inequivalent atoms, fractional coordinates:
Hf  0.0000  0.0000  0.0000 (multiplicity 2)
V  0.1195  0.3805  0.0000 (multiplicity 4)
Co  0.0000  0.5000  0.5000 (multiplicity 2)
Co  0.0592  0.2075  0.5000 (multiplicity 8)
Co  0.1805  0.6805  0.2380 (multiplicity 8)

Main lines, most intense first (15 to 90 degrees two-theta):
two_theta, I/Imax
41.03, 100
47.25, 81
45.76, 67
37.62, 38
51.54, 24
25.11, 23
35.81, 21
72.49, 19
89.01, 17
73.63, 17